Simulated powder XRD pattern of MgMn2O4 for a wavelength of 1.5418 Å, from DFT lattice parameters and positions (GGA+U).
Lines closer than 0.1° are merged.

Structural model:
```
MgMn2O4
1.0
-2.9114 2.9114 4.7118
2.9114 -2.9114 4.7118
2.9114 2.9114 -4.7118
Mg Mn O
2 4 8
direct
0.3750 0.6250 0.7500
0.6250 0.3750 0.2500
0.0000 0.0000 0.0000
0.0000 0.0000 0.5000
0.0000 0.5000 0.0000
0.5000 0.0000 0.5000
0.2223 0.2457 0.9766
0.2309 0.7543 0.4766
0.2457 0.2223 0.4766
0.2457 0.7691 0.0234
0.7543 0.2309 0.9766
0.7543 0.7777 0.5234
0.7691 0.2457 0.5234
0.7777 0.7543 0.0234
```

Peak list (6 most intense, 2θ = 5–70°, low angle first)
2θ (°), Rel. int.
17.9, 100
32.4, 66
35.8, 84
38.2, 40
44.0, 49
59.6, 63